Entry 1:
Simulated X-ray diffraction stick pattern of V3O4F2 for Cu Kα, from a structure optimized by DFT (GGA+U).
Lines closer than 0.1° are merged.

Peak list (12 most intense, 10° ≤ 2θ ≤ 90°, most intense first)
2θ 27.3, I 100, hkl 1 1 0
2θ 53.8, I 55, hkl 2 1 3
2θ 35.6, I 43, hkl 1 0 3
2θ 68.5, I 27, hkl 3 0 3
2θ 40.7, I 21, hkl 1 1 3
2θ 56.4, I 19, hkl 2 2 0
2θ 63.8, I 9, hkl 3 1 0
2θ 61.5, I 7, hkl 0 0 6
2θ 43.9, I 6, hkl 2 1 0
2θ 39.0, I 6, hkl 2 0 0
2θ 88.2, I 6, hkl 2 2 6
2θ 49.0, I 4, hkl 1 1 4

```
data_V3O4F2
_chemical_formula_sum 'V6 O8 F4'
_cell_length_a 4.614
_cell_length_b 4.614
_cell_length_c 9.048
_cell_angle_alpha 90.00
_cell_angle_beta 90.00
_cell_angle_gamma 90.00
_symmetry_space_group_name_H-M 'P 42/m n m'
_symmetry_Int_Tables_number 136
_symmetry_space_group_name_Hall '-P 4n 2n'
loop_
_atom_site_label
_atom_site_type_symbol
_atom_site_fract_x
_atom_site_fract_y
_atom_site_fract_z
V1 V 0.000 0.000 0.000
V2 V 0.000 0.000 0.311
O1 O 0.203 0.203 0.161
F1 F 0.192 0.192 0.500
```


Entry 2:
Simulated X-ray diffraction stick pattern of V2OF5 for Cu Kα, from a structure optimized by DFT (GGA+U).
Lines closer than 0.1° are merged.

Peak list (12 most intense, 10° ≤ 2θ ≤ 90°, most intense first)
2θ 28.4, I 100, hkl 2 -1 1
2θ 20.8, I 56, hkl 1 1 0
2θ 54.4, I 41, hkl 3 0 2
2θ 41.5, I 40, hkl 0 3 1
2θ 46.8, I 22, hkl 2 2 1
2θ 60.7, I 20, hkl 5 -1 1
2θ 65.5, I 17, hkl 3 3 0
2θ 64.3, I 8, hkl 2 -1 3
2θ 87.5, I 8, hkl 5 -1 3
2θ 58.8, I 7, hkl 4 -2 2
2θ 84.3, I 7, hkl 5 2 1
2θ 44.6, I 6, hkl 1 1 2

```
data_V2OF5
_chemical_formula_sum 'V6 O3 F15'
_cell_length_a 8.5520
_cell_length_b 8.5520
_cell_length_c 4.6218
_cell_angle_alpha 90.00
_cell_angle_beta 90.00
_cell_angle_gamma 120.00
_symmetry_space_group_name_H-M 'P 3'
_symmetry_Int_Tables_number 143
loop_
_symmetry_equiv_pos_as_xyz
'x,y,z'
'-y,x-y,z'
'-x+y,-x,z'
loop_
_atom_site_label
_atom_site_type_symbol
_atom_site_fract_x
_atom_site_fract_y
_atom_site_fract_z
V1 V 0.9995 0.3313 0.0000
V2 V 0.3424 0.3239 0.4767
O1 O 0.4170 0.2152 0.2584
F1 F 0.0999 0.5490 0.2516
F2 F 0.1172 0.8816 0.2559
F3 F 0.2009 0.7850 0.7422
F4 F 0.2320 0.1155 0.7500
F5 F 0.5442 0.4487 0.7481
```


Entry 3:
Simulated X-ray diffraction stick pattern of VOF2 for Cu Kα, from a structure optimized by DFT (GGA+U).
Lines closer than 0.1° are merged.

Peak list (12 most intense, 10° ≤ 2θ ≤ 90°, most intense first)
2θ 24.0, I 100, hkl 1 1 -2
2θ 23.4, I 98, hkl 0 1 2
2θ 23.7, I 97, hkl 1 0 2
2θ 33.2, I 25, hkl 1 1 4
2θ 48.0, I 23, hkl 0 2 4
2θ 48.5, I 19, hkl 2 0 4
2θ 49.2, I 18, hkl 2 2 -4
2θ 54.7, I 16, hkl 1 2 -6
2θ 40.0, I 15, hkl 2 1 3
2θ 53.6, I 14, hkl 1 2 6
2θ 33.5, I 14, hkl 0 1 -4
2θ 54.2, I 12, hkl 1 -1 6

```
data_VOF2
_chemical_formula_sum 'V6 O6 F12'
_cell_length_a 5.207
_cell_length_b 5.207
_cell_length_c 13.386
_cell_angle_alpha 88.94
_cell_angle_beta 89.71
_cell_angle_gamma 60.90
_symmetry_space_group_name_H-M 'P -1'
_symmetry_Int_Tables_number 2
loop_
_symmetry_equiv_pos_as_xyz
'x,y,z'
'-x,-y,-z'
loop_
_atom_site_label
_atom_site_type_symbol
_atom_site_fract_x
_atom_site_fract_y
_atom_site_fract_z
V1 V 0.000 0.000 0.000
V2 V 0.000 0.000 0.500
V3 V 0.313 0.320 0.337
V4 V 0.398 0.321 0.833
O1 O 0.240 0.098 0.412
O2 O 0.335 0.904 0.086
O3 O 0.415 0.580 0.248
F1 F 0.010 0.584 0.757
F2 F 0.057 0.678 0.410
F3 F 0.096 0.254 0.916
F4 F 0.270 0.660 0.913
F5 F 0.350 0.730 0.582
F6 F 0.414 0.008 0.752
```